# CsKH2Pt
Simulated PXRD pattern, Cu Kα (weighted mean of Kα1 and Kα2). Input: a PBE-relaxed structure.

Atomic structure:
Cell: 5.303 5.303 17.785 Å, 90.00 90.00 120.00°
Fractional coordinates of all 15 atoms:
Cs 0.000 0.000 0.000
Cs 0.333 0.667 0.667
Cs 0.667 0.333 0.333
K 0.000 0.000 0.509
K 0.333 0.667 0.175
K 0.667 0.333 0.842
H 0.000 0.000 0.163
H 0.000 0.000 0.351
H 0.333 0.667 0.018
H 0.333 0.667 0.829
H 0.667 0.333 0.496
H 0.667 0.333 0.684
Pt 0.000 0.000 0.256
Pt 0.333 0.667 0.922
Pt 0.667 0.333 0.589

Most intense lines, 2θ from 10° to 90°, by angle:
2θ (°)  d_spacing  I_rel  (hkl)
14.94  5.928  56  0 0 3
19.97  4.447  76  1 0 1
27.93  3.194  100  1 0 4
31.82  2.812  19  0 1 5
33.81  2.651  63  1 1 0
37.15  2.420  37  1 1 3
44.40  2.040  28  0 2 4
45.32  2.001  26  0 1 8
56.95  1.617  27  2 1 4
73.15  1.294  18  1 1 12